Simulated powder XRD pattern
Compound: La8Pm6Pb
Radiation: λ = 1.5418 Å (Cu Kα)
Structure: a cell relaxed with GGA-PBE
Neutral-atom scattering factors, no anomalous dispersion.

Crystal structure
Cell: 9.4532 9.4532 6.8504 Å, 90.00 90.00 120.00°
Sites, in units of the cell vectors:
La 0.0453 0.2760 0.3277
La 0.2307 0.9547 0.3277
La 0.2760 0.2307 0.6723
La 0.3333 0.6667 0.3802
La 0.6667 0.3333 0.6198
La 0.7240 0.7693 0.3277
La 0.7693 0.0453 0.6723
La 0.9547 0.7240 0.6723
Pm 0.0953 0.4408 0.8449
Pm 0.3455 0.9047 0.8449
Pm 0.4408 0.3455 0.1551
Pm 0.5592 0.6545 0.8449
Pm 0.6545 0.0953 0.1551
Pm 0.9047 0.5592 0.1551
Pb 0.0000 0.0000 0.0000

Largest 12 diffraction maxima, in order of rising 2θ, 15° ≤ 2θ ≤ 90°:
(hkl)  2θ (°)  d [Å]  I_rel
2 0 1  25.35  3.514  264
1 0 2  28.24  3.160  222
2 1 0  28.85  3.094  269
3 -2 1  31.73  2.820  1000
1 1 2  32.28  2.774  454
3 0 0  32.82  2.729  129
2 1 2  39.24  2.296  82
3 2 1  50.38  1.811  149
1 4 0  51.13  1.786  173
4 -1 3  57.21  1.610  165
0 4 3  60.77  1.524  86
4 2 1  61.44  1.509  112